[1]
# UAsC2N2O4F2
Theoretical X-ray diffraction stick pattern, CuKα. Input: the GGA-PBE geometry in the Materials Project.
Neutral-atom scattering factors, no anomalous dispersion.

```
UAsC2N2O4F2
1.0
0.000 8.852 10.257
3.954 0.000 10.257
3.954 8.852 0.000
U As C N O F
4 4 8 8 16 8
direct
0.041 0.709 0.041
0.291 0.959 0.291
0.709 0.041 0.709
0.959 0.291 0.959
0.003 0.003 0.247
0.247 0.247 0.003
0.753 0.753 0.997
0.997 0.997 0.753
0.231 0.445 0.517
0.308 0.517 0.445
0.445 0.231 0.308
0.483 0.692 0.769
0.517 0.308 0.231
0.555 0.769 0.692
0.692 0.483 0.555
0.769 0.555 0.483
0.254 0.339 0.402
0.339 0.254 0.504
0.402 0.504 0.254
0.496 0.598 0.661
0.504 0.402 0.339
0.598 0.496 0.746
0.661 0.746 0.496
0.746 0.661 0.598
0.018 0.877 0.888
0.111 0.479 0.129
0.112 0.282 0.982
0.123 0.982 0.282
0.129 0.781 0.111
0.219 0.871 0.521
0.282 0.112 0.123
0.479 0.111 0.781
0.521 0.889 0.219
0.718 0.888 0.877
0.781 0.129 0.479
0.871 0.219 0.889
0.877 0.018 0.718
0.888 0.718 0.018
0.889 0.521 0.871
0.982 0.123 0.112
0.049 0.230 0.531
0.230 0.049 0.690
0.310 0.469 0.770
0.469 0.310 0.951
0.531 0.690 0.049
0.690 0.531 0.230
0.770 0.951 0.310
0.951 0.770 0.469
```

Top 6 peaks for 15 to 90 degrees two-theta, sorted by position:
Position (°2θ), d [Å], I_rel
19.26, 4.608, 61
22.86, 3.890, 100
24.12, 3.689, 55
26.60, 3.351, 34
28.81, 3.099, 43
31.56, 2.835, 35

[2]
# ZnAs2C4N2F18
Theoretical X-ray diffraction stick pattern, CuKα. Input: the GGA-PBE geometry in the Materials Project.
Neutral-atom scattering factors, no anomalous dispersion.

```
ZnAs2C4N2F18
1.0
11.419 0.000 0.000
0.000 6.884 0.000
-2.909 0.000 10.623
Zn As C N F
2 4 8 4 36
direct
0.000 0.000 0.000
0.000 0.500 0.500
0.182 0.249 0.300
0.182 0.251 0.800
0.818 0.749 0.200
0.818 0.751 0.700
0.255 0.706 0.573
0.255 0.794 0.073
0.385 0.733 0.122
0.385 0.767 0.622
0.615 0.233 0.378
0.615 0.267 0.878
0.745 0.206 0.927
0.745 0.294 0.427
0.157 0.647 0.541
0.157 0.853 0.041
0.843 0.147 0.959
0.843 0.353 0.459
0.058 0.187 0.870
0.058 0.313 0.370
0.066 0.200 0.153
0.066 0.300 0.653
0.167 0.007 0.343
0.167 0.493 0.843
0.182 0.009 0.750
0.182 0.491 0.250
0.288 0.200 0.943
0.288 0.300 0.443
0.295 0.185 0.226
0.295 0.315 0.726
0.401 0.553 0.082
0.401 0.947 0.582
0.415 0.737 0.249
0.415 0.763 0.749
0.455 0.640 0.579
0.455 0.860 0.079
0.545 0.140 0.921
0.545 0.360 0.421
0.585 0.237 0.251
0.585 0.263 0.751
0.599 0.053 0.418
0.599 0.447 0.918
0.705 0.685 0.274
0.705 0.815 0.774
0.712 0.700 0.557
0.712 0.800 0.057
0.818 0.509 0.750
0.818 0.991 0.250
0.833 0.507 0.157
0.833 0.993 0.657
0.934 0.700 0.347
0.934 0.800 0.847
0.942 0.687 0.630
0.942 0.813 0.130
```

Top 6 peaks for 15 to 90 degrees two-theta, sorted by position:
Position (°2θ), d [Å], I_rel
15.18, 5.837, 88
20.65, 4.301, 100
21.13, 4.205, 77
23.80, 3.739, 64
25.60, 3.480, 52
26.21, 3.400, 57

[3]
# ZnAs2C12N12F12
Theoretical X-ray diffraction stick pattern, CuKα. Input: the GGA-PBE geometry in the Materials Project.
Neutral-atom scattering factors, no anomalous dispersion.

```
ZnAs2C12N12F12
1.0
4.804 2.774 7.986
-4.804 2.774 7.986
0.000 -5.547 7.986
Zn As C N F
1 2 12 12 12
direct
0.000 0.000 0.000
0.364 0.364 0.364
0.636 0.636 0.636
0.025 0.827 0.385
0.041 0.758 0.541
0.173 0.615 0.975
0.242 0.459 0.959
0.385 0.025 0.827
0.459 0.959 0.242
0.541 0.041 0.758
0.615 0.975 0.173
0.758 0.541 0.041
0.827 0.385 0.025
0.959 0.242 0.459
0.975 0.173 0.615
0.010 0.892 0.252
0.054 0.706 0.674
0.108 0.748 0.990
0.252 0.010 0.892
0.294 0.326 0.946
0.326 0.946 0.294
0.674 0.054 0.706
0.706 0.674 0.054
0.748 0.990 0.108
0.892 0.252 0.010
0.946 0.294 0.326
0.990 0.108 0.748
0.155 0.448 0.360
0.281 0.364 0.575
0.360 0.155 0.448
0.364 0.575 0.281
0.425 0.719 0.636
0.448 0.360 0.155
0.552 0.640 0.845
0.575 0.281 0.364
0.636 0.425 0.719
0.640 0.845 0.552
0.719 0.636 0.425
0.845 0.552 0.640
```

Top 6 peaks for 15 to 90 degrees two-theta, sorted by position:
Position (°2θ), d [Å], I_rel
18.47, 4.804, 50
21.40, 4.153, 22
21.59, 4.117, 100
29.08, 3.071, 16
32.14, 2.785, 17
34.22, 2.620, 18